No. 1
Diffraction record for KSr3. The X-ray powder pattern is theoretical, not measured: it uses a cell relaxed with GGA-PBE and copper Kα.

Atomic structure:
```
KSr3
1.0
-3.0301 3.0301 6.3457
3.0301 -3.0301 6.3457
3.0301 3.0301 -6.3457
K Sr
1 3
direct
0.0000 0.0000 0.0000
0.2500 0.7500 0.5000
0.5000 0.5000 0.0000
0.7500 0.2500 0.5000
```

The 10 most intense peaks (2θ from 5° to 70°), in order of falling intensity:
two_theta  d (Å)  intensity
25.08  3.551  100
29.48  3.030  33
49.70  1.835  30
41.20  2.191  26
28.12  3.173  19
47.96  1.897  17
51.46  1.776  13
65.75  1.420  13
42.18  2.143  12
16.21  5.469  6


No. 2
Diffraction record for Sr6MgTe8O22. The X-ray powder pattern is theoretical, not measured: it uses a cell relaxed with GGA-PBE and copper Kα.

Atomic structure:
```
Sr6MgTe8O22
1.0
7.7377 0.0000 0.0000
-2.7748 9.3103 0.0000
-1.6181 -2.9302 9.3325
Sr Mg Te O
6 1 8 22
direct
0.0000 0.0000 0.0000
0.0298 0.4991 0.4849
0.4109 0.7362 0.8878
0.4568 0.3409 0.3991
0.5771 0.2036 0.0200
0.8502 0.5651 0.8791
0.1369 0.0469 0.4236
0.1548 0.9150 0.6659
0.1939 0.3196 0.7410
0.2062 0.4411 0.1330
0.3175 0.8838 0.1977
0.6530 0.1045 0.6745
0.6734 0.7192 0.6095
0.7521 0.6947 0.2057
0.7883 0.0893 0.3206
0.1009 0.4806 0.7466
0.1193 0.7818 0.0311
0.2013 0.2719 0.5438
0.2364 0.7502 0.6571
0.2570 0.0374 0.8550
0.2574 0.0657 0.2651
0.2621 0.5085 0.3361
0.3420 0.3063 0.1255
0.3547 0.0307 0.5838
0.3690 0.5971 0.0840
0.4641 0.9635 0.0819
0.5456 0.5843 0.6981
0.6492 0.9973 0.8102
0.6611 0.2862 0.7982
0.7402 0.5787 0.4795
0.7422 0.7658 0.0405
0.7449 0.2715 0.4164
0.7990 0.5163 0.1193
0.8506 0.1525 0.1578
0.9008 0.7897 0.7553
0.9720 0.1653 0.7343
0.9954 0.8244 0.3244
```

The 10 most intense peaks (2θ from 5° to 70°), in order of falling intensity:
two_theta  d (Å)  intensity
26.94  3.310  100
29.48  3.030  95
27.39  3.256  93
27.32  3.264  86
28.05  3.181  83
26.44  3.371  81
38.32  2.349  38
40.75  2.214  35
19.62  4.524  34
39.26  2.295  28